Record 1
The following is a theoretical powder X-ray diffraction pattern of La4Ce2Te3N2. It was derived from a cell relaxed with PBE, using CuKα.
No peak broadening, texture or thermal motion is included.

abc: 4.800 4.800 26.804
angles: 90.00 90.00 90.00
Space group I4/mmm (No. 139)
Asymmetric unit:
La 0.000 0.500 0.085 x8
Ce 0.000 0.000 0.195 x4
Te 0.000 0.000 0.321 x4
Te 0.000 0.000 0.500 x2
N 0.000 0.000 0.113 x4

Main lines, low angle first (2θ from 15° to 90°):
2theta, I_rel, (hkl)
26.60, 14, 0 0 8
27.10, 43, 1 1 2
29.50, 20, 1 1 4
33.15, 100, 1 1 6
33.43, 15, 0 0 10
37.48, 52, 2 0 0
46.55, 13, 2 0 8
51.08, 18, 2 0 10
54.04, 18, 2 2 0
64.88, 29, 3 1 6

Record 2
The following is a theoretical powder X-ray diffraction pattern of Ce3Ga2Hg3. It was derived from a cell relaxed with PBE, using CuKα.
No peak broadening, texture or thermal motion is included.

abc: 8.2919 8.2919 3.4579
angles: 90.00 90.00 120.00
Space group P-62m (No. 189)
Asymmetric unit:
Ce 0.0000 0.3485 0.0000 x3
Ga 0.3333 0.6667 0.5000 x2
Hg 0.0000 0.6957 0.5000 x3

Main lines, low angle first (2θ from 15° to 90°):
2theta, I_rel, (hkl)
21.43, 29, 1 1 0
33.00, 9, 2 1 0
33.75, 100, 1 1 1
37.58, 60, 3 0 0
51.39, 26, 2 2 1
52.96, 8, 0 0 2
65.38, 23, 4 1 1
66.74, 22, 3 0 2
67.81, 8, 3 3 0
89.91, 7, 5 2 1

Record 3
The following is a theoretical powder X-ray diffraction pattern of CeU2As3. It was derived from a cell relaxed with PBE, using CuKα.
No peak broadening, texture or thermal motion is included.

abc: 4.101 5.840 12.497
angles: 90.00 90.00 90.00
Space group Immm (No. 71)
Asymmetric unit:
Ce 0.000 0.000 0.000 x2
U 0.000 0.000 0.335 x4
As 0.000 0.500 0.000 x2
As 0.000 0.500 0.329 x4

Main lines, low angle first (2θ from 15° to 90°):
2theta, I_rel, (hkl)
26.28, 18, 0 1 3
26.56, 18, 1 1 0
30.60, 100, 1 0 3
43.45, 13, 0 0 6
43.83, 50, 1 2 3
44.17, 12, 2 0 0
54.08, 14, 0 2 6
54.70, 13, 2 2 0
63.70, 13, 0 4 0
72.33, 23, 1 4 3

Record 4
The following is a theoretical powder X-ray diffraction pattern of InTe8Rh4. It was derived from a cell relaxed with PBE, using CuKα.
No peak broadening, texture or thermal motion is included.

abc: 11.470 11.470 11.470
angles: 90.00 90.00 90.00
Space group F-43m (No. 216)
Asymmetric unit:
In 0.000 0.000 0.000 x4
Te 0.108 0.108 0.392 x16
Te 0.143 0.143 0.857 x16
Rh 0.122 0.122 0.622 x16

Main lines, low angle first (2θ from 15° to 90°):
2theta, I_rel, (hkl)
25.76, 28, 3 1 1
26.93, 35, 2 2 2
31.19, 100, 4 0 0
40.88, 57, 5 1 1
44.69, 92, 4 4 0
55.50, 19, 4 4 4
57.37, 20, 5 5 1
73.90, 17, 8 4 0
82.37, 18, 8 4 4
88.09, 22, 9 5 1

Record 5
The following is a theoretical powder X-ray diffraction pattern of Sb5Mo3. It was derived from a cell relaxed with PBE, using CuKα.
No peak broadening, texture or thermal motion is included.

abc: 10.244 10.244 6.574
angles: 90.00 90.00 90.00
Space group I4cm (No. 108)
Asymmetric unit:
Sb 0.000 0.500 0.000 x4
Sb 0.071 0.213 0.356 x16
Mo 0.000 0.000 0.109 x4
Mo 0.167 0.333 0.724 x8

Main lines, low angle first (2θ from 15° to 90°):
2theta, I_rel, (hkl)
23.67, 26, 2 1 1
27.13, 22, 0 0 2
32.36, 35, 2 0 2
34.39, 47, 3 2 1
36.93, 51, 2 2 2
38.75, 100, 4 1 1
39.04, 48, 3 1 2
39.34, 42, 4 2 0
45.91, 24, 2 1 3
71.12, 16, 7 1 2

Record 6
The following is a theoretical powder X-ray diffraction pattern of NdAlGa2Pd4. It was derived from a cell relaxed with PBE, using CuKα.
No peak broadening, texture or thermal motion is included.

abc: 4.3410 4.3410 25.9737
angles: 90.00 90.00 120.00
Space group R-3m (No. 166, hexagonal axes)
Asymmetric unit:
Nd 0.0000 0.0000 0.0000 x3
Al 0.0000 0.0000 0.5000 x3
Ga 0.0000 0.0000 0.2435 x6
Pd 0.0000 0.0000 0.1356 x6
Pd 0.0000 0.0000 0.4040 x6

Main lines, low angle first (2θ from 15° to 90°):
2theta, I_rel, (hkl)
29.33, 33, 0 1 5
33.95, 46, 1 0 7
36.57, 69, 0 1 8
41.61, 100, 1 1 0
45.36, 18, 0 1 11
54.74, 12, 0 2 7
56.58, 19, 2 0 8
69.44, 15, 1 1 15
72.63, 18, 1 2 8
75.93, 16, 3 0 0